This entry pairs a crystal structure of CaTc4O12 with its calculated PXRD pattern. Radiation: Cu Kα (weighted mean of Kα1 and Kα2). Structure: a PBE-relaxed structure.
Lines closer than 0.1° are merged.

Main lines, low angle first (15 to 90 degrees two-theta):
- 2θ = 23.28°, d = 3.821 Å, I = 100
- 2θ = 23.73°, d = 3.749 Å, I = 46
- 2θ = 33.15°, d = 2.702 Å, I = 30
- 2θ = 33.48°, d = 2.676 Å, I = 62
- 2θ = 47.59°, d = 1.911 Å, I = 29
- 2θ = 48.56°, d = 1.875 Å, I = 12
- 2θ = 53.63°, d = 1.709 Å, I = 18
- 2θ = 53.85°, d = 1.702 Å, I = 19
- 2θ = 54.52°, d = 1.683 Å, I = 18
- 2θ = 59.44°, d = 1.555 Å, I = 25
- 2θ = 60.07°, d = 1.540 Å, I = 13
- 2θ = 70.35°, d = 1.338 Å, I = 14

a = 6.5776 Å, b = 6.5776 Å, c = 6.5776 Å
α = 108.96°, β = 108.96°, γ = 110.50°
Element x y z (fractional)
Ca1 0.0000 0.0000 0.0000
Tc1 0.0000 0.0000 0.5000
Tc2 0.0000 0.5000 0.0000
Tc3 0.5000 0.0000 0.0000
Tc4 0.5000 0.5000 0.5000
O1 0.0325 0.7842 0.2482
O2 0.2158 0.4640 0.2482
O3 0.2158 0.9675 0.7518
O4 0.2767 0.2767 0.5534
O5 0.2767 0.7233 0.0000
O6 0.4640 0.2158 0.2482
O7 0.5360 0.7842 0.7518
O8 0.7233 0.2767 0.0000
O9 0.7233 0.7233 0.4466
O10 0.7842 0.0325 0.2482
O11 0.7842 0.5360 0.7518
O12 0.9675 0.2158 0.7518